Sr5Mg: calculated powder X-ray diffraction pattern (Cu Kα (weighted mean of Kα1 and Kα2)), based on a PBE-relaxed structure.
Lines closer than 0.1° are merged.

Structure:
Unit cell a=6.6482 b=10.6180 c=10.6180 alpha=23.02 beta=90.00 gamma=90.00
Fractional positions:
Sr 0.0000 0.0000 0.0000
Sr 0.0000 0.3046 0.3046
Sr 0.5000 0.1062 0.1062
Sr 0.5000 0.4328 0.4328
Sr 0.5000 0.7622 0.7622
Mg 0.0000 0.6523 0.6523

The 10 most intense peaks (2θ = 5–70°), by angle:
d (Å)  intensity
3.616  21
3.468  12
3.324  37
3.176  100
3.075  37
2.447  15
2.030  14
1.889  22
1.745  14
1.732  17

---

Y3Mg: calculated powder X-ray diffraction pattern (Cu Kα (weighted mean of Kα1 and Kα2)), based on a PBE-relaxed structure.
Lines closer than 0.1° are merged.

Structure:
Unit cell a=3.5364 b=3.5364 c=11.4713 alpha=90.00 beta=90.00 gamma=120.00
Fractional positions:
Y 0.0000 0.0000 0.0000
Y 0.3333 0.6667 0.2511
Y 0.3333 0.6667 0.7489
Mg 0.0000 0.0000 0.5000

The 10 most intense peaks (2θ = 5–70°), by angle:
d (Å)  intensity
11.471  29
3.063  27
2.959  8
2.868  26
2.702  100
2.093  18
1.768  18
1.622  20
1.505  21
1.479  15

---

Si2O5: calculated powder X-ray diffraction pattern (Cu Kα (weighted mean of Kα1 and Kα2)), based on a PBE-relaxed structure.
Lines closer than 0.1° are merged.

Structure:
Unit cell a=7.5586 b=7.5586 c=7.5586 alpha=66.43 beta=129.57 gamma=139.72
Fractional positions:
Si 0.1083 0.1147 0.2230
Si 0.1083 0.3853 0.4936
Si 0.8917 0.6147 0.5064
Si 0.8917 0.8853 0.7770
O 0.0561 0.1453 0.6494
O 0.0561 0.9067 0.4108
O 0.0657 0.6596 0.7906
O 0.0657 0.7751 0.9060
O 0.4959 0.4067 0.3506
O 0.4959 0.6453 0.5892
O 0.8690 0.1596 0.0940
O 0.8690 0.2751 0.2094
O 0.9765 0.4765 0.5000
O 0.9765 0.9765 0.0000

The 10 most intense peaks (2θ = 5–70°), by angle:
d (Å)  intensity
5.739  28
4.048  100
3.527  32
3.162  15
2.603  11
2.297  18
2.024  7
1.675  6
1.541  6
1.508  7